# 1
# Pr3SbSeN
Theoretical XRD peak list, a wavelength of 1.5418 Å. Input: a structure optimized by DFT (PBE).
Neutral-atom scattering factors, no anomalous dispersion.

Top 8 peaks for 5 to 70 degrees two-theta, sorted by position:
d/Å  2θ/deg  Rel. int.
8.869  10.0  20
3.126  28.6  75
3.080  29.0  43
3.037  29.4  100
2.443  36.8  49
2.140  42.2  30
1.984  45.7  28
1.766  51.8  30

Structural model:
abc: 9.0056 4.2807 9.5237
angles: 90.00 99.99 90.00
Positions (direct):
1 Pr 0.0901 0.2500 0.3455
2 Pr 0.3402 0.2500 0.9885
3 Pr 0.3969 0.7500 0.6593
4 Pr 0.6031 0.2500 0.3407
5 Pr 0.6598 0.7500 0.0115
6 Pr 0.9099 0.7500 0.6545
7 Sb 0.3268 0.7500 0.2890
8 Sb 0.6732 0.2500 0.7110
9 Se 0.1504 0.2500 0.6603
10 Se 0.8496 0.7500 0.3397
11 N 0.4094 0.7500 0.9006
12 N 0.5906 0.2500 0.0994

# 2
# PrSmSbN
Theoretical XRD peak list, a wavelength of 1.5418 Å. Input: a structure optimized by DFT (PBE).
Neutral-atom scattering factors, no anomalous dispersion.

Top 8 peaks for 5 to 70 degrees two-theta, sorted by position:
d/Å  2θ/deg  Rel. int.
3.133  28.5  95
3.071  29.1  59
2.700  33.2  100
2.356  38.2  66
1.869  48.7  57
1.613  57.1  28
1.464  63.5  25
1.418  65.9  28

Structural model:
abc: 4.7120 4.7120 9.2140
angles: 90.00 90.00 90.00
Positions (direct):
1 Pr 0.2500 0.7500 0.0000
2 Pr 0.7500 0.2500 0.0000
3 Sm 0.2500 0.2500 0.3305
4 Sm 0.7500 0.7500 0.6695
5 Sb 0.2500 0.2500 0.6930
6 Sb 0.7500 0.7500 0.3070
7 N 0.2500 0.2500 0.0883
8 N 0.7500 0.7500 0.9117

# 3
# Pr4Th2Sb3N2
Theoretical XRD peak list, a wavelength of 1.5418 Å. Input: a structure optimized by DFT (PBE).
Neutral-atom scattering factors, no anomalous dispersion.

Top 8 peaks for 5 to 70 degrees two-theta, sorted by position:
d/Å  2θ/deg  Rel. int.
4.220  21.1  20
3.295  27.1  81
2.690  33.3  100
2.404  37.4  56
1.943  46.7  21
1.700  53.9  20
1.511  61.4  22
1.437  64.9  29

Structural model:
abc: 13.6294 13.6294 13.6294
angles: 159.68 159.68 28.89
Positions (direct):
1 Pr 0.0815 0.5815 0.5000
2 Pr 0.4185 0.9185 0.5000
3 Pr 0.5815 0.0815 0.5000
4 Pr 0.9185 0.4185 0.5000
5 Th 0.1934 0.1934 0.0000
6 Th 0.8066 0.8066 0.0000
7 Sb 0.3216 0.3216 0.0000
8 Sb 0.5000 0.5000 0.0000
9 Sb 0.6784 0.6784 0.0000
10 N 0.1103 0.1103 0.0000
11 N 0.8897 0.8897 0.0000

# 4
# Pr3Se3N
Theoretical XRD peak list, a wavelength of 1.5418 Å. Input: a structure optimized by DFT (PBE).
Neutral-atom scattering factors, no anomalous dispersion.

Top 8 peaks for 5 to 70 degrees two-theta, sorted by position:
d/Å  2θ/deg  Rel. int.
3.657  24.3  42
3.511  25.4  48
3.414  26.1  59
2.994  29.8  58
2.934  30.5  87
2.750  32.6  62
2.448  36.7  100
2.087  43.4  56

Structural model:
abc: 12.9894 4.1740 13.6574
angles: 90.00 90.00 90.00
Positions (direct):
1 Pr 0.0399 0.2500 0.1521
2 Pr 0.0716 0.2500 0.6317
3 Pr 0.2110 0.2500 0.8631
4 Pr 0.2890 0.7500 0.3631
5 Pr 0.4284 0.7500 0.1317
6 Pr 0.4601 0.7500 0.6521
7 Pr 0.5399 0.2500 0.3479
8 Pr 0.5716 0.2500 0.8683
9 Pr 0.7110 0.2500 0.6369
10 Pr 0.7890 0.7500 0.1369
11 Pr 0.9284 0.7500 0.3683
12 Pr 0.9601 0.7500 0.8479
13 Se 0.0911 0.2500 0.3916
14 Se 0.1326 0.7500 0.9970
15 Se 0.2267 0.7500 0.6916
16 Se 0.2733 0.2500 0.1916
17 Se 0.3674 0.2500 0.4970
18 Se 0.4089 0.7500 0.8916
19 Se 0.5911 0.2500 0.1084
20 Se 0.6326 0.7500 0.5030
21 Se 0.7267 0.7500 0.8084
22 Se 0.7733 0.2500 0.3084
23 Se 0.8674 0.2500 0.0030
24 Se 0.9089 0.7500 0.6084
25 N 0.0430 0.2500 0.7973
26 N 0.4570 0.7500 0.2973
27 N 0.5430 0.2500 0.7027
28 N 0.9570 0.7500 0.2027

# 5
# Pr2USe2N2
Theoretical XRD peak list, a wavelength of 1.5418 Å. Input: a structure optimized by DFT (PBE).
Neutral-atom scattering factors, no anomalous dispersion.

Top 8 peaks for 5 to 70 degrees two-theta, sorted by position:
d/Å  2θ/deg  Rel. int.
7.847  11.3  27
3.346  26.6  41
3.078  29.0  100
2.546  35.3  97
2.176  41.5  45
1.824  50.0  16
1.654  55.6  62
1.376  68.1  18

Structural model:
abc: 8.4287 8.4287 8.4287
angles: 150.07 150.07 42.83
Positions (direct):
1 Pr 0.1222 0.1222 0.0000
2 Pr 0.8778 0.8778 0.0000
3 U 0.5000 0.5000 0.0000
4 Se 0.3183 0.3183 0.0000
5 Se 0.6817 0.6817 0.0000
6 N 0.0000 0.5000 0.5000
7 N 0.5000 0.0000 0.5000

# 6
# Pr6SiN4
Theoretical XRD peak list, a wavelength of 1.5418 Å. Input: a structure optimized by DFT (PBE).
Neutral-atom scattering factors, no anomalous dispersion.

Top 8 peaks for 5 to 70 degrees two-theta, sorted by position:
d/Å  2θ/deg  Rel. int.
3.150  28.3  60
3.063  29.2  30
2.894  30.9  93
2.868  31.2  100
2.757  32.5  48
2.678  33.5  83
1.828  49.9  40
1.575  58.6  44

Structural model:
abc: 6.4829 6.4829 19.4082
angles: 90.00 90.00 146.20
Positions (direct):
1 Pr 0.0000 0.0000 0.0000
2 Pr 0.0000 0.0000 0.5000
3 Pr 0.1518 0.8482 0.7500
4 Pr 0.2777 0.7223 0.0784
5 Pr 0.2777 0.7223 0.4216
6 Pr 0.4576 0.5424 0.6500
7 Pr 0.4576 0.5424 0.8500
8 Pr 0.5424 0.4576 0.1500
9 Pr 0.5424 0.4576 0.3500
10 Pr 0.7223 0.2777 0.5784
11 Pr 0.7223 0.2777 0.9216
12 Pr 0.8482 0.1518 0.2500
13 Si 0.1658 0.8342 0.2500
14 Si 0.8342 0.1658 0.7500
15 N 0.0859 0.9141 0.6227
16 N 0.0859 0.9141 0.8773
17 N 0.3613 0.6387 0.5398
18 N 0.3613 0.6387 0.9602
19 N 0.6387 0.3613 0.0398
20 N 0.6387 0.3613 0.4602
21 N 0.9141 0.0859 0.1227
22 N 0.9141 0.0859 0.3773